1.
Structure and computed XRD peak list of Ac2LaOs (a GGA-PBE-relaxed structure; a wavelength of 1.5418 Å).
Lines closer than 0.1° are merged.

Largest 8 diffraction maxima, sorted by position, 2θ = 10–90°:
2θ/deg, d (Å), I_rel
13.25, 6.681, 61
28.61, 3.121, 48
29.42, 3.036, 53
29.65, 3.013, 100
30.75, 2.908, 85
34.92, 2.570, 81
43.63, 2.074, 32
53.64, 1.709, 40

a b c (Å): 6.995 6.995 10.128
angles (deg): 90.00 90.00 145.50
Element x y z (fractional)
Ac (0.145, 0.855, 0.572)
Ac (0.145, 0.855, 0.928)
Ac (0.855, 0.145, 0.072)
Ac (0.855, 0.145, 0.428)
La (0.404, 0.596, 0.750)
La (0.596, 0.404, 0.250)
Os (0.239, 0.761, 0.250)
Os (0.761, 0.239, 0.750)



2.
Structure and computed XRD peak list of Ag13Hg3 (a GGA-PBE-relaxed structure; a wavelength of 1.5418 Å).
Lines closer than 0.1° are merged.

Largest 8 diffraction maxima, sorted by position, 2θ = 10–90°:
2θ/deg, d (Å), I_rel
36.93, 2.434, 100
42.41, 2.132, 17
42.68, 2.119, 17
43.63, 2.074, 15
61.73, 1.503, 11
73.97, 1.281, 12
74.35, 1.276, 12
75.70, 1.256, 12

a b c (Å): 8.298 6.011 6.011
angles (deg): 89.65 90.00 90.00
Element x y z (fractional)
Ag (0.000, 0.000, 0.000)
Ag (0.000, 0.000, 0.509)
Ag (0.000, 0.509, 0.000)
Ag (0.000, 0.511, 0.511)
Ag (0.247, 0.256, 0.754)
Ag (0.247, 0.754, 0.256)
Ag (0.248, 0.751, 0.751)
Ag (0.500, 0.001, 0.504)
Ag (0.500, 0.504, 0.001)
Ag (0.500, 0.508, 0.508)
Ag (0.752, 0.751, 0.751)
Ag (0.753, 0.256, 0.754)
Ag (0.753, 0.754, 0.256)
Hg (0.245, 0.259, 0.259)
Hg (0.500, 0.995, 0.995)
Hg (0.755, 0.259, 0.259)



3.
Structure and computed XRD peak list of SeS5 (a GGA-PBE-relaxed structure; a wavelength of 1.5418 Å).
Lines closer than 0.1° are merged.

Largest 8 diffraction maxima, sorted by position, 2θ = 10–90°:
2θ/deg, d (Å), I_rel
25.48, 3.496, 100
25.94, 3.435, 48
41.83, 2.159, 12
44.62, 2.031, 10
45.47, 1.995, 19
49.46, 1.843, 14
49.77, 1.832, 14
52.33, 1.748, 12

a b c (Å): 2.160 8.124 10.504
angles (deg): 78.84 89.26 89.99
Element x y z (fractional)
Se (0.000, 0.000, 0.000)
S (0.001, 0.498, 0.000)
S (0.012, 0.335, 0.666)
S (0.012, 0.831, 0.667)
S (0.991, 0.169, 0.332)
S (0.994, 0.664, 0.333)